Diffraction record for Np2AsSe. The X-ray powder pattern is calculated, not measured: it uses a structure optimized by DFT (GGA-PBE) and a wavelength of 1.5418 Å.

Principal peaks in the range 2θ from 5° to 70°, sorted by position:
two_theta  intensity  index
26.55  46  1 1 0
30.75  100  1 0 2
43.91  13  2 0 0
44.05  51  1 2 2
54.58  14  2 2 0
54.79  13  0 2 4

Structure:
a b c (Å): 4.1235 5.8122 8.2019
angles (deg): 90.00 90.00 90.00
Sites, in units of the cell vectors:
1 Np 0.2500 0.2500 0.1216
2 Np 0.2500 0.2500 0.6271
3 Np 0.7500 0.7500 0.3729
4 Np 0.7500 0.7500 0.8784
5 As 0.2500 0.7500 0.1267
6 As 0.7500 0.2500 0.8733
7 Se 0.2500 0.7500 0.6252
8 Se 0.7500 0.2500 0.3748